[1]
# GaGeCl5
Theoretical X-ray powder pattern, Cu Kα, 1.54184 Å. Input: the GGA-PBE geometry in Alexandria.

Cell lengths 7.215, 7.215, 10.227 Å; angles 110.47, 110.47, 84.40 degrees
Sites, in units of the cell vectors:
Ga 0.148 0.852 0.500
Ga 0.852 0.148 0.000
Ge 0.022 0.508 0.770
Ge 0.508 0.022 0.270
Cl 0.132 0.202 0.187
Cl 0.174 0.599 0.581
Cl 0.202 0.132 0.687
Cl 0.290 0.599 0.969
Cl 0.386 0.799 0.402
Cl 0.599 0.174 0.081
Cl 0.599 0.290 0.469
Cl 0.799 0.386 0.902
Cl 0.820 0.861 0.817
Cl 0.861 0.820 0.317

Peak list (10 most intense, 15 to 90 degrees two-theta, by angle)
4.846 Å, rel. 19
4.698 Å, rel. 100
4.481 Å, rel. 59
4.269 Å, rel. 19
3.587 Å, rel. 28
2.756 Å, rel. 17
2.685 Å, rel. 16
2.349 Å, rel. 16
2.239 Å, rel. 21
1.759 Å, rel. 20

***

[2]
# GaHgGeCl6
Theoretical X-ray powder pattern, Cu Kα, 1.54184 Å. Input: the GGA-PBE geometry in Alexandria.

Cell lengths 6.279, 6.279, 9.363 Å; angles 90.00, 90.00, 120.00 degrees
Sites, in units of the cell vectors:
Ga 0.000 0.000 0.000
Hg 0.333 0.667 0.500
Ge 0.667 0.333 0.000
Cl 0.321 0.021 0.150
Cl 0.321 0.299 0.850
Cl 0.701 0.021 0.850
Cl 0.701 0.679 0.150
Cl 0.979 0.299 0.150
Cl 0.979 0.679 0.850

Peak list (10 most intense, 15 to 90 degrees two-theta, by angle)
4.699 Å, rel. 100
3.139 Å, rel. 11
2.976 Å, rel. 12
2.707 Å, rel. 17
2.608 Å, rel. 57
2.050 Å, rel. 12
2.007 Å, rel. 17
1.877 Å, rel. 17
1.812 Å, rel. 11
1.489 Å, rel. 15